Theoretical XRD peak list of CuNi3N for Cu Kα, from a cell relaxed with GGA-PBE.
Neutral-atom scattering factors, no anomalous dispersion.

Crystal structure
Unit cell a=4.276 b=5.283 c=4.587 alpha=90.00 beta=90.79 gamma=90.00
Fractional coordinates of all 10 atoms:
Cu 0.247 0.000 0.175
Cu 0.753 0.000 0.825
Ni 0.244 0.769 0.666
Ni 0.247 0.263 0.668
Ni 0.254 0.520 0.169
Ni 0.746 0.520 0.831
Ni 0.753 0.263 0.332
Ni 0.756 0.769 0.334
N 0.000 0.520 0.500
N 0.500 0.273 0.000

Most intense lines, 2θ from 15° to 90°, low angle first:
2θ/deg	I (rel.)	h k l
39.33	41.1	0 0 2
42.27	49.5	2 0 0
44.57	32.8	1 0 -2
44.78	70.6	1 2 -1
45.07	100.0	1 2 1
59.35	11.0	2 2 1
71.26	22.0	0 2 3
78.86	11.9	3 2 -1
85.91	11.0	2 2 -3
88.61	12.3	1 0 4